[1]
Calculated powder XRD pattern
Compound: GdGaSiPd
Radiation: a wavelength of 1.5418 Å
Structure: a DFT-relaxed cell (PBE, OQMD)
Kinematic intensities with the Lorentz-polarization factor, no thermal factor.

Largest 10 diffraction maxima, low angle first, 2θ = 5–70°:
- 2θ 18.36, rel. 552
- 2θ 23.24, rel. 414
- 2θ 27.15, rel. 712
- 2θ 32.98, rel. 1000
- 2θ 33.72, rel. 670
- 2θ 38.61, rel. 961
- 2θ 41.87, rel. 442
- 2θ 44.34, rel. 736
- 2θ 46.37, rel. 425
- 2θ 48.27, rel. 571

```
8
Lattice="1.958 -9.048 0.000 1.958 9.048 0.000 0.000 0.000 4.832" Properties=species:S:1:pos:R:3 pbc="T T T"
Gd 1.958 5.884 0.000
Gd 1.958 -5.884 0.000
Ga 1.958 1.231 1.231
Ga 1.958 -1.231 1.231
Si 1.958 3.754 2.467
Si 1.958 -3.754 2.467
Pd 1.958 1.436 3.608
Pd 1.958 -1.436 3.608
```

---

[2]
Calculated powder XRD pattern
Compound: Tb2HoSi4Au4
Radiation: a wavelength of 1.5418 Å
Structure: a DFT-relaxed cell (PBE, OQMD)
Kinematic intensities with the Lorentz-polarization factor, no thermal factor.

Largest 10 diffraction maxima, low angle first, 2θ = 5–70°:
- 2θ 7.06, rel. 165
- 2θ 21.28, rel. 148
- 2θ 27.97, rel. 123
- 2θ 33.11, rel. 248
- 2θ 33.49, rel. 1000
- 2θ 42.68, rel. 196
- 2θ 43.77, rel. 183
- 2θ 45.21, rel. 150
- 2θ 62.79, rel. 126
- 2θ 67.72, rel. 128

```
11
Lattice="-2.068 2.118 12.521 2.068 -2.118 12.521 2.068 2.118 -12.521" Properties=species:S:1:pos:R:3 pbc="T T T"
Tb 0.000 0.000 3.698
Tb 0.000 0.000 21.345
Ho 0.000 2.118 0.000
Si 2.068 0.000 1.171
Si 0.000 0.000 7.770
Si 0.000 0.000 17.273
Si 0.000 2.118 11.351
Au 2.068 0.000 6.215
Au 0.000 0.000 10.178
Au 0.000 0.000 14.865
Au 0.000 2.118 6.306
```

---

[3]
Calculated powder XRD pattern
Compound: Hf2Ta2O5
Radiation: a wavelength of 1.5418 Å
Structure: a DFT-relaxed cell (PBE, OQMD)
Kinematic intensities with the Lorentz-polarization factor, no thermal factor.

Largest 10 diffraction maxima, low angle first, 2θ = 5–70°:
- 2θ 32.48, rel. 1000
- 2θ 37.51, rel. 326
- 2θ 38.02, rel. 126
- 2θ 38.99, rel. 29
- 2θ 54.09, rel. 160
- 2θ 54.48, rel. 259
- 2θ 55.60, rel. 35
- 2θ 64.53, rel. 287
- 2θ 65.22, rel. 90
- 2θ 68.02, rel. 97

```
9
Lattice="3.391 0.000 0.000 0.000 3.391 0.000 0.000 0.000 9.466" Properties=species:S:1:pos:R:3 pbc="T T T"
Hf 0.000 0.000 2.125
Hf 0.000 0.000 7.341
Ta 1.695 1.695 0.000
Ta 1.695 1.695 4.733
O 0.000 0.000 0.000
O 0.000 1.695 3.517
O 0.000 1.695 5.949
O 1.695 0.000 3.517
O 1.695 0.000 5.949
```

---

[4]
Calculated powder XRD pattern
Compound: La2DyMg2Si4Au2
Radiation: a wavelength of 1.5418 Å
Structure: a DFT-relaxed cell (PBE, OQMD)
Kinematic intensities with the Lorentz-polarization factor, no thermal factor.

Largest 10 diffraction maxima, low angle first, 2θ = 5–70°:
- 2θ 6.78, rel. 868
- 2θ 13.58, rel. 233
- 2θ 20.69, rel. 226
- 2θ 29.35, rel. 251
- 2θ 31.93, rel. 563
- 2θ 32.47, rel. 1000
- 2θ 41.50, rel. 275
- 2θ 43.46, rel. 359
- 2θ 53.29, rel. 266
- 2θ 62.40, rel. 246

```
11
Lattice="-2.127 2.177 13.041 2.127 -2.177 13.041 2.127 2.177 -13.041" Properties=species:S:1:pos:R:3 pbc="T T T"
La 0.000 0.000 3.642
La 0.000 0.000 22.439
Dy 0.000 2.177 0.000
Mg 2.127 0.000 6.515
Mg 0.000 2.177 6.526
Si 2.127 0.000 1.167
Si 0.000 0.000 8.204
Si 0.000 0.000 17.878
Si 0.000 2.177 11.874
Au 0.000 0.000 10.737
Au 0.000 0.000 15.345
```